# MnCd2CuO4
Simulated powder diffraction line list, λ = 1.5418 Å (Cu Kα). Input: the GGA+U geometry in Alexandria.

Top 10 peaks for 5 to 70 degrees two-theta, sorted by position:
- 2θ = 17.72°, I 23
- 2θ = 27.74°, I 34
- 2θ = 30.11°, I 44
- 2θ = 32.45°, I 45
- 2θ = 33.30°, I 76
- 2θ = 40.73°, I 100
- 2θ = 41.39°, I 33
- 2θ = 44.85°, I 26
- 2θ = 48.79°, I 25
- 2θ = 53.01°, I 22

Atomic structure:
a = 5.7371 Å, b = 5.7371 Å, c = 11.8735 Å
α = 90.00°, β = 90.00°, γ = 148.25°
Element x y z (fractional)
Mn1 0.1397 0.8603 0.7500
Mn2 0.8603 0.1397 0.2500
Cd1 0.3661 0.6339 0.5402
Cd2 0.3661 0.6339 0.9598
Cd3 0.6339 0.3661 0.0402
Cd4 0.6339 0.3661 0.4598
Cu1 0.1185 0.8815 0.2500
Cu2 0.8815 0.1185 0.7500
O1 0.0000 0.0000 0.0000
O2 0.0000 0.0000 0.5000
O3 0.2609 0.7391 0.1363
O4 0.2609 0.7391 0.3637
O5 0.4955 0.5045 0.7500
O6 0.5045 0.4955 0.2500
O7 0.7391 0.2609 0.6363
O8 0.7391 0.2609 0.8637